Structure and calculated X-ray powder pattern of Pr2Ta3O10 (a PBE-relaxed structure; λ = 1.5418 Å (Cu Kα)).

Structure:
```
data_Pr2Ta3O10
_chemical_formula_sum 'Pr8 Ta12 O40'
_symmetry_space_group_name_H-M 'C 1 2/m 1'
_symmetry_Int_Tables_number 12
_symmetry_space_group_name_Hall '-C 2y'
_cell_length_a 18.8338
_cell_length_b 5.8486
_cell_length_c 7.7188
_cell_angle_alpha 90.00
_cell_angle_beta 113.28
_cell_angle_gamma 90.00
loop_
_atom_site_label
_atom_site_type_symbol
_atom_site_fract_x
_atom_site_fract_y
_atom_site_fract_z
_atom_site_occupancy
Pr1 Pr 0.0963 0.0000 0.2210 1
Pr2 Pr 0.1979 0.0000 0.8415 1
Ta1 Ta 0.0000 0.2431 0.5000 1
Ta2 Ta 0.0836 0.5000 0.9855 1
Ta3 Ta 0.1861 0.5000 0.5394 1
O1 O 0.0000 0.2648 0.0000 1
O2 O 0.0175 0.0000 0.7038 1
O3 O 0.0272 0.5000 0.7034 1
O4 O 0.1116 0.2342 0.5394 1
O5 O 0.1204 0.5000 0.2607 1
O6 O 0.1503 0.2476 0.0060 1
O7 O 0.2246 0.5000 0.8041 1
O8 O 0.2500 0.2500 0.5000 1
```

Top 12 peaks for 10 to 80 degrees two-theta, sorted by position:
- 25.12 deg, I 28.8, hkl 0 0 2
- 28.04 deg, I 97.6, hkl 4 0 1
- 28.11 deg, I 70.7, hkl 1 1 -2
- 28.27 deg, I 100.0, hkl 5 1 -1
- 28.44 deg, I 70.8, hkl 6 0 -1
- 30.57 deg, I 24.9, hkl 0 2 0
- 33.17 deg, I 39.7, hkl 2 2 -1
- 36.46 deg, I 34.2, hkl 4 2 -1
- 42.24 deg, I 23.9, hkl 6 2 -1
- 52.93 deg, I 30.9, hkl 10 0 0
- 54.10 deg, I 27.1, hkl 2 2 3
- 57.20 deg, I 27.3, hkl 4 2 -4

Structure and calculated X-ray powder pattern of Ba7Al4Ge9 (a PBE-relaxed structure; λ = 1.5418 Å (Cu Kα)).

Structure:
```
data_Ba7Al4Ge9
_chemical_formula_sum 'Ba28 Al16 Ge36'
_symmetry_space_group_name_H-M 'F m m 2'
_symmetry_Int_Tables_number 42
_symmetry_space_group_name_Hall 'F 2 -2'
_cell_length_a 10.4147
_cell_length_b 25.9524
_cell_length_c 8.7489
_cell_angle_alpha 90.00
_cell_angle_beta 90.00
_cell_angle_gamma 90.00
loop_
_atom_site_label
_atom_site_type_symbol
_atom_site_fract_x
_atom_site_fract_y
_atom_site_fract_z
_atom_site_occupancy
Ba1 Ba 0.0000 0.0000 0.0000 1
Ba2 Ba 0.2237 0.1027 0.6653 1
Ba3 Ba 0.2500 0.2500 0.4207 1
Al1 Al 0.0000 0.0605 0.3711 1
Al2 Al 0.0000 0.2006 0.1640 1
Ge1 Ge 0.0000 0.0000 0.6114 1
Ge2 Ge 0.0000 0.1442 0.9327 1
Ge3 Ge 0.0000 0.1558 0.4145 1
Ge4 Ge 0.0000 0.2026 0.6809 1
Ge5 Ge 0.1924 0.0000 0.3923 1
```

Top 12 peaks for 10 to 80 degrees two-theta, sorted by position:
- 24.54 deg, I 21.2, hkl 0 4 2
- 26.79 deg, I 52.6, hkl 2 6 0
- 27.50 deg, I 37.2, hkl 0 8 0
- 30.02 deg, I 100.0, hkl 2 4 2
- 32.68 deg, I 11.8, hkl 3 5 1
- 34.44 deg, I 35.7, hkl 4 0 0
- 40.41 deg, I 24.1, hkl 0 10 2
- 41.28 deg, I 15.9, hkl 0 0 4
- 49.90 deg, I 11.7, hkl 2 6 4
- 52.39 deg, I 11.3, hkl 2 14 0
- 54.13 deg, I 22.2, hkl 4 10 2
- 54.82 deg, I 10.2, hkl 4 0 4

Structure and calculated X-ray powder pattern of PrErGaIr (a PBE-relaxed structure; λ = 1.5418 Å (Cu Kα)).

Structure:
```
data_PrErGaIr
_chemical_formula_sum 'Pr2 Er2 Ga2 Ir2'
_symmetry_space_group_name_H-M 'A m m 2'
_symmetry_Int_Tables_number 38
_symmetry_space_group_name_Hall 'A 2 -2'
_cell_length_a 3.9726
_cell_length_b 4.2564
_cell_length_c 11.2998
_cell_angle_alpha 90.00
_cell_angle_beta 90.00
_cell_angle_gamma 90.00
loop_
_atom_site_label
_atom_site_type_symbol
_atom_site_fract_x
_atom_site_fract_y
_atom_site_fract_z
_atom_site_occupancy
Pr1 Pr 0.0000 0.0000 0.0000 1
Er1 Er 0.5000 0.0000 0.2852 1
Ga1 Ga 0.5000 0.0000 0.5905 1
Ir1 Ir 0.0000 0.0000 0.7358 1
```

Top 12 peaks for 10 to 80 degrees two-theta, sorted by position:
- 15.68 deg, I 24.9, hkl 0 0 2
- 31.70 deg, I 59.0, hkl 0 0 4
- 31.81 deg, I 100.0, hkl 1 1 1
- 39.16 deg, I 86.4, hkl 1 1 3
- 42.48 deg, I 25.3, hkl 0 2 0
- 45.67 deg, I 20.6, hkl 2 0 0
- 51.23 deg, I 13.8, hkl 1 1 5
- 53.92 deg, I 18.7, hkl 0 2 4
- 56.66 deg, I 22.9, hkl 2 0 4
- 59.12 deg, I 15.4, hkl 1 2 4
- 61.43 deg, I 13.6, hkl 0 1 7
- 64.13 deg, I 14.9, hkl 2 2 0

Structure and calculated X-ray powder pattern of Li2CuGeO4 (a PBE-relaxed structure; λ = 1.5418 Å (Cu Kα)).

Structure:
```
data_Li2CuGeO4
_chemical_formula_sum 'Li4 Cu2 Ge2 O8'
_symmetry_space_group_name_H-M 'P m n 21'
_symmetry_Int_Tables_number 31
_symmetry_space_group_name_Hall 'P 2ac -2'
_cell_length_a 6.4790
_cell_length_b 5.4293
_cell_length_c 5.0363
_cell_angle_alpha 90.00
_cell_angle_beta 90.00
_cell_angle_gamma 90.00
loop_
_atom_site_label
_atom_site_type_symbol
_atom_site_fract_x
_atom_site_fract_y
_atom_site_fract_z
_atom_site_occupancy
Li1 Li 0.2487 0.1684 0.0000 1
Cu1 Cu 0.0000 0.6939 0.9855 1
Ge1 Ge 0.0000 0.3452 0.5076 1
O1 O 0.0000 0.3379 0.8608 1
O2 O 0.0000 0.6562 0.3962 1
O3 O 0.2253 0.1858 0.3971 1
```

Top 12 peaks for 10 to 80 degrees two-theta, sorted by position:
- 16.33 deg, I 36.7, hkl 0 1 0
- 24.10 deg, I 100.0, hkl 0 1 1
- 27.53 deg, I 44.1, hkl 2 0 0
- 32.18 deg, I 33.4, hkl 2 1 0
- 33.00 deg, I 22.5, hkl 0 2 0
- 35.65 deg, I 38.1, hkl 0 0 2
- 36.91 deg, I 42.6, hkl 2 1 1
- 37.64 deg, I 16.7, hkl 0 2 1
- 45.63 deg, I 19.3, hkl 2 0 2
- 47.27 deg, I 22.4, hkl 2 2 1
- 58.41 deg, I 20.9, hkl 2 3 0
- 64.87 deg, I 19.4, hkl 2 1 3